The following is a computed powder diffractogram of MnAlVCo. It was derived from a DFT-relaxed cell (GGA-PBE, Alexandria), using Cu Kα (weighted mean of Kα1 and Kα2).
Neutral-atom scattering factors, no anomalous dispersion.

Principal peaks in the range 2θ = 15–90°, sorted by position:
| h k l | 2theta | Rel. int. |
| --- | --- | --- |
| 0 0 1 | 15.5 | 9.3 |
| 1 0 0 | 31.0 | 6.5 |
| 1 1 0 | 44.3 | 51.9 |
| 1 0 2 | 44.6 | 100.0 |
| 2 0 0 | 64.5 | 15.5 |
| 0 0 4 | 65.4 | 6.9 |
| 2 1 2 | 81.8 | 29.4 |
| 1 1 4 | 82.4 | 13.6 |

Crystal structure
Cell: 2.8886 2.8886 5.7106 Å, 90.00 90.00 90.00°
Sites, in units of the cell vectors:
Mn1 0.0000 0.0000 0.0000
Al1 0.5000 0.5000 0.2672
V1 0.5000 0.5000 0.7790
Co1 0.0000 0.0000 0.5182